This entry pairs a crystal structure of Sm3HgSb with its computed X-ray diffraction stick pattern. Radiation: Cu Kα X-rays. Structure: a DFT-relaxed cell (GGA-PBE, Alexandria).
Kinematic intensities with the Lorentz-polarization factor, no thermal factor.

Atomic structure:
```
data_Sm3HgSb
_chemical_formula_sum 'Sm6 Hg2 Sb2'
_cell_length_a 8.8937
_cell_length_b 8.8937
_cell_length_c 5.1262
_cell_angle_alpha 90.00
_cell_angle_beta 90.00
_cell_angle_gamma 126.59
_space_group_name_H-M_alt 'P 1'
_space_group_IT_number 1
loop_
_space_group_symop_operation_xyz
'x,y,z'
loop_
_atom_site_label
_atom_site_type_symbol
_atom_site_fract_x
_atom_site_fract_y
_atom_site_fract_z
_atom_site_occupancy
Sm1 Sm 0.0000 0.5000 0.5000 1
Sm2 Sm 0.1663 0.8337 0.0000 1
Sm3 Sm 0.3206 0.3206 0.5000 1
Sm4 Sm 0.5000 0.0000 0.5000 1
Sm5 Sm 0.6794 0.6794 0.5000 1
Sm6 Sm 0.8337 0.1663 0.0000 1
Hg1 Hg 0.0890 0.9110 0.5000 1
Hg2 Hg 0.9110 0.0890 0.5000 1
Sb1 Sb 0.3663 0.6337 0.0000 1
Sb2 Sb 0.6337 0.3663 0.0000 1
```

Largest 12 diffraction maxima, by angle, 2θ from 15° to 90°:
d/Å, Position (°2θ), I/Imax
5.126, 17.3, 24
4.307, 20.6, 19
3.152, 28.3, 29
3.140, 28.4, 40
2.930, 30.5, 26
2.818, 31.8, 69
2.561, 35.0, 100
2.353, 38.3, 20
2.339, 38.5, 27
2.028, 44.7, 19
1.896, 48.0, 48
1.523, 60.8, 22

---

This entry pairs a crystal structure of Pm2Sn4Pb with its computed X-ray diffraction stick pattern. Radiation: Cu Kα X-rays. Structure: a DFT-relaxed cell (GGA-PBE, Alexandria).
Kinematic intensities with the Lorentz-polarization factor, no thermal factor.

Atomic structure:
```
data_Pm2Sn4Pb
_chemical_formula_sum 'Pm2 Sn4 Pb1'
_cell_length_a 4.4815
_cell_length_b 4.4815
_cell_length_c 10.3203
_cell_angle_alpha 90.00
_cell_angle_beta 90.00
_cell_angle_gamma 90.00
_space_group_name_H-M_alt 'P 1'
_space_group_IT_number 1
loop_
_space_group_symop_operation_xyz
'x,y,z'
loop_
_atom_site_label
_atom_site_type_symbol
_atom_site_fract_x
_atom_site_fract_y
_atom_site_fract_z
_atom_site_occupancy
Pm1 Pm 0.0000 0.5000 0.2435 1
Pm2 Pm 0.5000 0.0000 0.7565 1
Sn1 Sn 0.0000 0.0000 0.0000 1
Sn2 Sn 0.0000 0.5000 0.7093 1
Sn3 Sn 0.5000 0.0000 0.2907 1
Sn4 Sn 0.5000 0.5000 0.0000 1
Pb1 Pb 0.0000 0.0000 0.5000 1
```

Largest 12 diffraction maxima, by angle, 2θ from 15° to 90°:
d/Å, Position (°2θ), I/Imax
4.482, 19.8, 8
4.111, 21.6, 14
3.384, 26.3, 12
2.700, 33.2, 100
2.580, 34.8, 18
2.240, 40.3, 39
1.692, 54.2, 21
1.584, 58.2, 16
1.512, 61.3, 11
1.367, 68.7, 25
1.350, 69.6, 10
1.094, 89.6, 8

---

Question: Number 2 is which compound?
Answer: Pm2Sn4Pb